Entry 1:
Starting from a cell relaxed with GGA-PBE, the XRD peak list of TbCd3 was calculated for copper Kα.
No peak broadening, texture or thermal motion is included.

The 8 most intense peaks (2θ from 10° to 90°), by angle:
2θ 30.97, rel. 20.3
2θ 35.93, rel. 100.0
2θ 48.17, rel. 11.7
2θ 55.09, rel. 15.3
2θ 64.61, rel. 16.4
2θ 67.55, rel. 28.4
2θ 76.20, rel. 4.8
2θ 89.93, rel. 7.8

Structure:
Unit cell a=6.6679 b=6.6679 c=4.9953 alpha=90.00 beta=90.00 gamma=120.00
Atoms (fractional coordinates):
Tb  0.3333  0.6667  0.2500
Tb  0.6667  0.3333  0.7500
Cd  0.1622  0.3244  0.7500
Cd  0.1622  0.8378  0.7500
Cd  0.3244  0.1622  0.2500
Cd  0.6756  0.8378  0.7500
Cd  0.8378  0.1622  0.2500
Cd  0.8378  0.6756  0.2500

Entry 2:
Starting from a cell relaxed with GGA-PBE, the XRD peak list of TbCd was calculated for copper Kα.
No peak broadening, texture or thermal motion is included.

The 8 most intense peaks (2θ from 10° to 90°), by angle:
2θ 23.62, rel. 2.9
2θ 33.65, rel. 100.0
2θ 41.52, rel. 0.9
2θ 48.32, rel. 17.9
2θ 54.46, rel. 1.4
2θ 60.17, rel. 36.6
2θ 70.74, rel. 11.2
2θ 80.65, rel. 15.7

Structure:
Unit cell a=3.7671 b=3.7671 c=3.7671 alpha=90.00 beta=90.00 gamma=90.00
Atoms (fractional coordinates):
Tb  0.0000  0.0000  0.0000
Cd  0.5000  0.5000  0.5000

Entry 3:
Starting from a cell relaxed with GGA-PBE, the XRD peak list of TbCd3 was calculated for copper Kα.
No peak broadening, texture or thermal motion is included.

The 8 most intense peaks (2θ from 10° to 90°), by angle:
2θ 29.76, rel. 10.8
2θ 32.64, rel. 19.4
2θ 32.98, rel. 15.0
2θ 35.02, rel. 100.0
2θ 36.57, rel. 28.7
2θ 37.55, rel. 19.8
2θ 49.82, rel. 11.6
2θ 64.84, rel. 15.9

Structure:
Unit cell a=6.5552 b=6.5552 c=4.9144 alpha=90.00 beta=90.00 gamma=113.65
Atoms (fractional coordinates):
Tb  0.1352  0.8648  0.7500
Tb  0.8648  0.1352  0.2500
Cd  0.1899  0.3805  0.7500
Cd  0.3238  0.6762  0.2500
Cd  0.3805  0.1899  0.2500
Cd  0.6195  0.8101  0.7500
Cd  0.6762  0.3238  0.7500
Cd  0.8101  0.6195  0.2500

Entry 4:
Starting from a cell relaxed with GGA-PBE, the XRD peak list of Cd3Te was calculated for copper Kα.
No peak broadening, texture or thermal motion is included.

The 8 most intense peaks (2θ from 10° to 90°), by angle:
2θ 33.02, rel. 100.0
2θ 35.09, rel. 21.2
2θ 39.84, rel. 29.6
2θ 54.12, rel. 23.6
2θ 61.65, rel. 15.7
2θ 68.03, rel. 23.1
2θ 69.28, rel. 10.9
2θ 89.40, rel. 11.5

Structure:
Unit cell a=6.0327 b=6.0327 c=6.0327 alpha=135.94 beta=135.94 gamma=64.07
Atoms (fractional coordinates):
Cd  0.0000  0.0000  0.0000
Cd  0.2500  0.7500  0.5000
Cd  0.7500  0.2500  0.5000
Te  0.5000  0.5000  0.0000

Entry 5:
Starting from a cell relaxed with GGA-PBE, the XRD peak list of Tl2CdTe4 was calculated for copper Kα.
No peak broadening, texture or thermal motion is included.

The 8 most intense peaks (2θ from 10° to 90°), by angle:
2θ 19.52, rel. 11.7
2θ 23.92, rel. 100.0
2θ 31.06, rel. 15.0
2θ 39.53, rel. 48.9
2θ 39.64, rel. 24.9
2θ 46.64, rel. 14.1
2θ 46.83, rel. 29.3
2θ 71.85, rel. 13.7

Structure:
Unit cell a=7.9045 b=7.9045 c=7.9045 alpha=131.99 beta=131.99 gamma=70.24
Atoms (fractional coordinates):
Tl  0.2500  0.7500  0.5000
Tl  0.7500  0.2500  0.5000
Cd  0.0000  0.0000  0.0000
Te  0.1676  0.1676  0.5530
Te  0.3853  0.8324  0.0000
Te  0.6147  0.6147  0.4470
Te  0.8324  0.3853  0.0000

Entry 6:
Starting from a cell relaxed with GGA-PBE, the XRD peak list of TlCdTe2 was calculated for copper Kα.
No peak broadening, texture or thermal motion is included.

The 8 most intense peaks (2θ from 10° to 90°), by angle:
2θ 23.39, rel. 24.4
2θ 26.22, rel. 54.5
2θ 33.38, rel. 100.0
2θ 41.10, rel. 46.6
2θ 49.41, rel. 9.7
2θ 53.95, rel. 25.4
2θ 65.02, rel. 19.7
2θ 70.00, rel. 23.1

Structure:
Unit cell a=4.3919 b=4.3919 c=7.5777 alpha=90.00 beta=90.00 gamma=120.00
Atoms (fractional coordinates):
Tl  0.0000  0.0000  0.0000
Cd  0.0000  0.0000  0.5000
Te  0.3333  0.6667  0.2760
Te  0.6667  0.3333  0.7240